Calculated X-ray diffraction stick pattern
Compound: Pm3Sm2Ho8
Radiation: Cu Kα
Structure: a cell relaxed with PBE
Neutral-atom scattering factors, no anomalous dispersion.

Top 10 peaks for 15° ≤ 2θ ≤ 90°, low angle first:
2θ/deg	d [Å]	I (rel.)
24.82	3.587	33
29.03	3.076	66
30.89	2.895	74
31.52	2.839	100
32.08	2.790	65
32.66	2.742	40
33.71	2.659	72
35.19	2.550	35
35.43	2.534	29
60.48	1.531	35

Unit cell a=8.6493 b=8.6493 c=6.9304 alpha=105.83 beta=105.83 gamma=64.00
Fractional coordinates of all 13 atoms:
Pm1 0.0000 0.0000 0.0000
Pm2 0.1760 0.8240 0.5000
Pm3 0.8240 0.1760 0.5000
Sm1 0.2179 0.2179 0.4216
Sm2 0.7821 0.7821 0.5784
Ho1 0.1921 0.1921 0.8955
Ho2 0.2003 0.5620 0.8250
Ho3 0.4182 0.4182 0.2679
Ho4 0.4380 0.7997 0.1750
Ho5 0.5620 0.2003 0.8250
Ho6 0.5818 0.5818 0.7321
Ho7 0.7997 0.4380 0.1750
Ho8 0.8079 0.8079 0.1045


Calculated X-ray diffraction stick pattern
Compound: Tl4SiTe5
Radiation: Cu Kα
Structure: a cell relaxed with PBE
Neutral-atom scattering factors, no anomalous dispersion.

Top 10 peaks for 15° ≤ 2θ ≤ 90°, low angle first:
2θ/deg	d [Å]	I (rel.)
24.05	3.700	16
26.40	3.376	70
28.53	3.128	100
30.16	2.963	33
35.31	2.542	28
39.26	2.295	83
40.79	2.212	28
49.25	1.850	31
58.36	1.581	20
62.52	1.486	25

Unit cell a=7.7673 b=7.7673 c=7.7673 alpha=100.89 beta=100.89 gamma=128.48
Fractional coordinates of all 10 atoms:
Tl1 0.0782 0.6844 0.7626
Tl2 0.3156 0.0782 0.3938
Tl3 0.6844 0.9218 0.6062
Tl4 0.9218 0.3156 0.2374
Si1 0.4172 0.4172 0.0000
Te1 0.0374 0.0374 0.0000
Te2 0.2580 0.4104 0.6504
Te3 0.4104 0.7600 0.1524
Te4 0.6076 0.2580 0.8476
Te5 0.7600 0.6076 0.3496